Diffraction record for YFe5. The PXRD pattern is calculated, not measured: it uses a crystal structure in the Materials Project, relaxed with PBE and Cu Kα, 1.54184 Å.
Lines closer than 0.1° are merged.

Peak list (12 most intense, 2θ from 5° to 70°, by angle)
hkl 1 0 0, 2θ = 20.43°, rel. 41; hkl 1 0 1, 2θ = 30.62°, rel. 294; hkl 1 1 0, 2θ = 35.78°, rel. 262; hkl 2 0 0, 2θ = 41.55°, rel. 330; hkl 1 1 1, 2θ = 42.71°, rel. 1000; hkl 0 0 2, 2θ = 46.05°, rel. 274; hkl 2 0 1, 2θ = 47.79°, rel. 204; hkl 1 1 2, 2θ = 59.65°, rel. 111; hkl 2 1 1, 2θ = 61.11°, rel. 77; hkl 2 0 2, 2θ = 63.74°, rel. 171; hkl 3 0 0, 2θ = 64.29°, rel. 44; hkl 3 0 1, 2θ = 69.06°, rel. 217

Atomic structure:
Cell lengths 5.020, 5.020, 3.942 Å; angles 90.00, 90.00, 120.00 degrees
Positions (direct):
Y 0.000 0.000 0.000
Fe 0.000 0.500 0.500
Fe 0.333 0.667 0.000
Fe 0.500 0.000 0.500
Fe 0.500 0.500 0.500
Fe 0.667 0.333 0.000